Structure and computed X-ray powder pattern of CsCd4In2Sn (a DFT-relaxed cell (PBE, Alexandria); Cu Ka).
Neutral-atom scattering factors, no anomalous dispersion.

Crystal structure
```
data_CsCd4In2Sn
_cell_length_a 5.1298
_cell_length_b 5.1298
_cell_length_c 34.6201
_cell_angle_alpha 90.00
_cell_angle_beta 90.00
_cell_angle_gamma 120.00
_symmetry_space_group_name_H-M 'R -3 m'
_symmetry_Int_Tables_number 166
_symmetry_space_group_name_Hall '-R 3 2"'
loop_
_atom_site_label
_atom_site_type_symbol
_atom_site_fract_x
_atom_site_fract_y
_atom_site_fract_z
Cs1 Cs 0.0000 0.0000 0.0000
Cd1 Cd 0.0000 0.0000 0.1334
Cd2 Cd 0.0000 0.0000 0.4079
In1 In 0.0000 0.0000 0.2310
Sn1 Sn 0.0000 0.0000 0.5000
```

Most intense lines, 2θ from 10° to 80°, sorted by position:
- hkl 0 1 5, 2θ 23.80, I = 126
- hkl 0 1 8, 2θ 28.80, I = 414
- hkl 1 1 0, 2θ 34.97, I = 1000
- hkl 1 1 3, 2θ 35.87, I = 69
- hkl 2 0 8, 2θ 45.92, I = 114
- hkl 2 0 11, 2θ 50.28, I = 117
- hkl 1 2 8, 2θ 59.01, I = 106
- hkl 1 0 22, 2θ 62.67, I = 222
- hkl 3 0 0, 2θ 62.74, I = 117
- hkl 2 2 0, 2θ 73.90, I = 72



Structure and computed X-ray powder pattern of Tl2PbF2 (a DFT-relaxed cell (PBE, Alexandria); Cu Ka).
Neutral-atom scattering factors, no anomalous dispersion.

Crystal structure
```
data_Tl2PbF2
_cell_length_a 6.989
_cell_length_b 6.989
_cell_length_c 5.273
_cell_angle_alpha 90.00
_cell_angle_beta 90.00
_cell_angle_gamma 90.00
_symmetry_space_group_name_H-M 'P 4/m b m'
_symmetry_Int_Tables_number 127
_symmetry_space_group_name_Hall '-P 4 2ab'
loop_
_atom_site_label
_atom_site_type_symbol
_atom_site_fract_x
_atom_site_fract_y
_atom_site_fract_z
Tl1 Tl 0.173 0.327 0.000
Pb1 Pb 0.000 0.000 0.500
F1 F 0.231 0.269 0.500
```

Most intense lines, 2θ from 10° to 80°, sorted by position:
- hkl 1 1 1, 2θ 24.69, I = 950
- hkl 2 1 0, 2θ 28.56, I = 712
- hkl 2 0 1, 2θ 30.70, I = 1000
- hkl 2 1 1, 2θ 33.33, I = 840
- hkl 0 0 2, 2θ 34.01, I = 521
- hkl 3 1 0, 2θ 40.83, I = 471
- hkl 2 1 2, 2θ 44.98, I = 420
- hkl 3 1 2, 2θ 54.14, I = 582
- hkl 4 0 1, 2θ 55.43, I = 292
- hkl 3 3 1, 2θ 58.75, I = 552



Structure and computed X-ray powder pattern of Tb2InNi2 (a DFT-relaxed cell (PBE, Alexandria); Cu Ka).
Neutral-atom scattering factors, no anomalous dispersion.

Crystal structure
```
data_Tb2InNi2
_cell_length_a 3.886
_cell_length_b 14.405
_cell_length_c 3.711
_cell_angle_alpha 90.00
_cell_angle_beta 90.00
_cell_angle_gamma 90.00
_symmetry_space_group_name_H-M 'C m m m'
_symmetry_Int_Tables_number 65
_symmetry_space_group_name_Hall '-C 2 2'
loop_
_atom_site_label
_atom_site_type_symbol
_atom_site_fract_x
_atom_site_fract_y
_atom_site_fract_z
Tb1 Tb 0.000 0.138 0.000
In1 In 0.000 0.500 0.500
Ni1 Ni 0.000 0.301 0.500
```

Most intense lines, 2θ from 10° to 80°, sorted by position:
- hkl 1 3 0, 2θ 29.57, I = 432
- hkl 1 1 1, 2θ 33.98, I = 1000
- hkl 0 4 1, 2θ 34.71, I = 737
- hkl 1 3 1, 2θ 38.43, I = 372
- hkl 1 5 0, 2θ 38.91, I = 343
- hkl 2 0 0, 2θ 46.75, I = 245
- hkl 0 0 2, 2θ 49.10, I = 211
- hkl 1 7 1, 2θ 56.34, I = 190
- hkl 2 4 1, 2θ 59.52, I = 306
- hkl 2 0 2, 2θ 70.10, I = 245